Entry 1:
Starting from the GGA-PBE geometry in Alexandria, the powder X-ray diffraction pattern of Li2Ag2Pd4Au was simulated for copper Kα.
Peak positions follow from Bragg's law for the DFT cell and can differ from measured ones.

Main lines, low angle first (2θ = 10–90°):
- 13.5 deg, I 79.4, hkl 0 0 1
- 22.2 deg, I 88.6, hkl 1 1 0
- 38.1 deg, I 74.9, hkl 2 1 1
- 39.7 deg, I 86.1, hkl -1 1 1
- 39.9 deg, I 100.0, hkl 1 -1 2
- 40.2 deg, I 79.4, hkl 1 2 -1
- 40.4 deg, I 60.5, hkl 1 2 2
- 40.6 deg, I 62.3, hkl 0 2 1
- 40.7 deg, I 94.2, hkl 1 1 3
- 41.3 deg, I 64.3, hkl 0 0 3

Structural model:
a b c (Å): 4.725 5.247 6.952
angles (deg): 81.76 70.74 64.32
Space group P-1 (No. 2)
One atom of each set of equivalent atoms:
Li 0.175 0.258 0.104 x2
Ag 0.291 0.359 0.564 x2
Pd 0.265 0.911 0.820 x2
Pd 0.336 0.648 0.176 x2
Au 0.000 0.000 0.500 x1



Entry 2:
Starting from the GGA-PBE geometry in Alexandria, the powder X-ray diffraction pattern of SrCa4Ac was simulated for copper Kα.
Peak positions follow from Bragg's law for the DFT cell and can differ from measured ones.

Main lines, low angle first (2θ = 10–90°):
- 13.7 deg, I 25.4, hkl 0 2 0
- 15.5 deg, I 16.0, hkl 1 1 0
- 20.8 deg, I 47.8, hkl 1 1 1
- 27.9 deg, I 53.7, hkl 2 0 0
- 28.7 deg, I 100.0, hkl 1 3 1
- 31.3 deg, I 17.1, hkl 2 2 0
- 39.7 deg, I 11.3, hkl 2 4 0
- 49.9 deg, I 31.3, hkl 3 3 1
- 49.9 deg, I 10.4, hkl 1 3 3
- 51.2 deg, I 19.0, hkl 2 6 0

Structural model:
a b c (Å): 6.386 12.900 6.384
angles (deg): 90.00 90.21 90.00
Space group C2/m (No. 12)
One atom of each set of equivalent atoms:
Sr 0.000 0.000 0.000 x2
Ca 0.000 0.175 0.500 x4
Ca 0.000 0.330 0.000 x4
Ac 0.000 0.500 0.500 x2